(1)
Structure and simulated powder diffraction line list of Y3Sb (the PBE geometry in the Materials Project; Cu Kα, 1.54184 Å).
Neutral-atom scattering factors, no anomalous dispersion.

Top 12 peaks for 2θ from 5° to 70°, low angle first:
2theta  Rel. int.
14.89  1
21.95  1
30.04  24
32.39  26
34.23  100
44.76  15
53.35  18
58.97  20
62.44  3
63.81  21
64.93  15
67.82  3

Structural model:
```
data_Y3Sb
_space_group_name_H-M_alt 'P 63/m m c'
_space_group_IT_number 194
_space_group_name_Hall '-P 6c 2c'
_cell_length_a 6.8692
_cell_length_b 6.8692
_cell_length_c 5.5273
_cell_angle_alpha 90.00
_cell_angle_beta 90.00
_cell_angle_gamma 120.00
loop_
_atom_site_label
_atom_site_type_symbol
_atom_site_fract_x
_atom_site_fract_y
_atom_site_fract_z
Y1 Y 0.1701 0.3402 0.2500
Sb1 Sb 0.3333 0.6667 0.7500
```

(2)
Structure and simulated powder diffraction line list of YSb2 (the PBE geometry in the Materials Project; Cu Kα, 1.54184 Å).
Neutral-atom scattering factors, no anomalous dispersion.

Top 12 peaks for 2θ from 5° to 70°, low angle first:
2theta  Rel. int.
28.01  13
28.46  9
30.48  39
30.90  100
35.84  34
37.00  30
37.35  52
51.41  23
55.90  16
56.67  8
57.15  19
58.90  16

Structural model:
```
data_YSb2
_space_group_name_H-M_alt 'C 2 2 2'
_space_group_IT_number 21
_space_group_name_Hall 'C 2 2'
_cell_length_a 3.6025
_cell_length_b 6.3700
_cell_length_c 7.5165
_cell_angle_alpha 90.00
_cell_angle_beta 90.00
_cell_angle_gamma 90.00
loop_
_atom_site_label
_atom_site_type_symbol
_atom_site_fract_x
_atom_site_fract_y
_atom_site_fract_z
Y1 Y 0.0000 0.0000 0.0000
Sb1 Sb 0.2500 0.2500 0.3262
```

(3)
Structure and simulated powder diffraction line list of Y5Sb3 (the PBE geometry in the Materials Project; Cu Kα, 1.54184 Å).
Neutral-atom scattering factors, no anomalous dispersion.

Top 12 peaks for 2θ from 5° to 70°, low angle first:
2theta  Rel. int.
24.86  25
30.08  96
30.80  26
31.39  31
31.50  63
31.87  61
32.81  100
33.84  34
35.67  47
38.63  49
41.33  25
50.96  30

Structural model:
```
data_Y5Sb3
_space_group_name_H-M_alt 'P n m a'
_space_group_IT_number 62
_space_group_name_Hall '-P 2ac 2n'
_cell_length_a 11.9646
_cell_length_b 9.3216
_cell_length_c 8.1482
_cell_angle_alpha 90.00
_cell_angle_beta 90.00
_cell_angle_gamma 90.00
loop_
_atom_site_label
_atom_site_type_symbol
_atom_site_fract_x
_atom_site_fract_y
_atom_site_fract_z
Y1 Y 0.0049 0.2500 0.0281
Y2 Y 0.0673 0.0575 0.6915
Y3 Y 0.2085 0.7500 0.3424
Y4 Y 0.2282 0.2500 0.3292
Sb1 Sb 0.0242 0.7500 0.5937
Sb2 Sb 0.1736 0.5087 0.0644
```

(4)
Structure and simulated powder diffraction line list of Y5Sb3 (the PBE geometry in the Materials Project; Cu Kα, 1.54184 Å).
Neutral-atom scattering factors, no anomalous dispersion.

Top 12 peaks for 2θ from 5° to 70°, low angle first:
2theta  Rel. int.
11.33  11
28.36  25
30.27  23
33.52  100
34.44  56
34.76  79
42.58  11
44.20  19
49.73  18
53.58  26
66.85  18
69.84  14

Structural model:
```
data_Y5Sb3
_space_group_name_H-M_alt 'P 63/m c m'
_space_group_IT_number 193
_space_group_name_Hall '-P 6c 2'
_cell_length_a 9.0218
_cell_length_b 9.0218
_cell_length_c 6.2942
_cell_angle_alpha 90.00
_cell_angle_beta 90.00
_cell_angle_gamma 120.00
loop_
_atom_site_label
_atom_site_type_symbol
_atom_site_fract_x
_atom_site_fract_y
_atom_site_fract_z
Y1 Y 0.0000 0.2474 0.2500
Y2 Y 0.3333 0.6667 0.0000
Sb1 Sb 0.0000 0.3878 0.7500
```

(5)
Structure and simulated powder diffraction line list of YSb (the PBE geometry in the Materials Project; Cu Kα, 1.54184 Å).
Neutral-atom scattering factors, no anomalous dispersion.

Top 7 peaks for 2θ from 5° to 70°, low angle first:
2theta  Rel. int.
23.38  2
33.30  100
41.09  1
47.81  18
53.88  1
59.51  36
69.93  11

Structural model:
```
data_YSb
_space_group_name_H-M_alt 'P m -3 m'
_space_group_IT_number 221
_space_group_name_Hall '-P 4 2 3'
_cell_length_a 3.8048
_cell_length_b 3.8048
_cell_length_c 3.8048
_cell_angle_alpha 90.00
_cell_angle_beta 90.00
_cell_angle_gamma 90.00
loop_
_atom_site_label
_atom_site_type_symbol
_atom_site_fract_x
_atom_site_fract_y
_atom_site_fract_z
Y1 Y 0.0000 0.0000 0.0000
Sb1 Sb 0.5000 0.5000 0.5000
```

(6)
Structure and simulated powder diffraction line list of YSb (the PBE geometry in the Materials Project; Cu Kα, 1.54184 Å).
Neutral-atom scattering factors, no anomalous dispersion.

Top 8 peaks for 2θ from 5° to 70°, low angle first:
2theta  Rel. int.
24.81  4
28.73  100
41.08  75
48.59  2
50.90  26
59.49  12
65.46  1
67.38  33

Structural model:
```
data_YSb
_space_group_name_H-M_alt 'F m -3 m'
_space_group_IT_number 225
_space_group_name_Hall '-F 4 2 3'
_cell_length_a 6.2151
_cell_length_b 6.2151
_cell_length_c 6.2151
_cell_angle_alpha 90.00
_cell_angle_beta 90.00
_cell_angle_gamma 90.00
loop_
_atom_site_label
_atom_site_type_symbol
_atom_site_fract_x
_atom_site_fract_y
_atom_site_fract_z
Y1 Y 0.0000 0.0000 0.0000
Sb1 Sb 0.0000 0.0000 0.5000
```

(7)
Structure and simulated powder diffraction line list of Y3Sb (the PBE geometry in the Materials Project; Cu Kα, 1.54184 Å).
Neutral-atom scattering factors, no anomalous dispersion.

Top 12 peaks for 2θ from 5° to 70°, low angle first:
2theta  Rel. int.
20.18  27
29.58  66
30.42  53
30.53  61
32.12  67
32.97  90
35.35  61
36.81  100
39.62  21
51.47  19
60.39  21
61.38  27

Structural model:
```
data_Y3Sb
_space_group_name_H-M_alt 'P 42/n'
_space_group_IT_number 86
_cell_length_a 12.4649
_cell_length_b 12.4649
_cell_length_c 6.2081
_cell_angle_alpha 90.00
_cell_angle_beta 90.00
_cell_angle_gamma 90.00
loop_
_space_group_symop_operation_xyz
'x,y,z'
'-x,-y,-z'
'-y,x+1/2,z+1/2'
'y,-x+1/2,-z+1/2'
'-x+1/2,-y+1/2,z'
'x+1/2,y+1/2,-z'
'y+1/2,-x,z+1/2'
'-y+1/2,x,-z+1/2'
loop_
_atom_site_label
_atom_site_type_symbol
_atom_site_fract_x
_atom_site_fract_y
_atom_site_fract_z
Y1 Y 0.0349 0.9254 0.2345
Y2 Y 0.1072 0.2807 0.0339
Y3 Y 0.1406 0.8337 0.7155
Sb1 Sb 0.0488 0.2923 0.5397
```

(8)
Structure and simulated powder diffraction line list of YZrSb (the PBE geometry in the Materials Project; Cu Kα, 1.54184 Å).
Neutral-atom scattering factors, no anomalous dispersion.

Top 12 peaks for 2θ from 5° to 70°, low angle first:
2theta  Rel. int.
29.50  23
31.43  71
32.22  29
34.08  36
36.68  100
42.20  56
43.47  16
54.07  26
55.32  18
61.21  18
62.18  14
65.31  13

Structural model:
```
data_YZrSb
_space_group_name_H-M_alt 'I 4/m m m'
_space_group_IT_number 139
_space_group_name_Hall '-I 4 2'
_cell_length_a 4.2826
_cell_length_b 4.2826
_cell_length_c 16.6702
_cell_angle_alpha 90.00
_cell_angle_beta 90.00
_cell_angle_gamma 90.00
loop_
_atom_site_label
_atom_site_type_symbol
_atom_site_fract_x
_atom_site_fract_y
_atom_site_fract_z
Y1 Y 0.0000 0.0000 0.1766
Zr1 Zr 0.0000 0.5000 0.0000
Sb1 Sb 0.0000 0.0000 0.3669
```

Question: Number 7 is which compound?
Answer: Y3Sb